No. 1
For Ca4ErMg5, a PBE-relaxed structure gives the simulated powder XRD pattern in this record (Cu Kα X-rays).
Intensities are scaled so that the largest is 100.

Cell and atoms:
abc: 3.903 3.903 19.815
angles: 90.00 90.00 90.00
Element x y z (fractional)
Ca  0.000  0.000  0.102
Ca  0.000  0.000  0.307
Ca  0.000  0.000  0.693
Ca  0.000  0.000  0.898
Er  0.000  0.000  0.500
Mg  0.500  0.500  0.000
Mg  0.500  0.500  0.204
Mg  0.500  0.500  0.410
Mg  0.500  0.500  0.590
Mg  0.500  0.500  0.796

Most intense lines, 2θ = 10–90°, in order of rising 2θ:
2θ/deg	I/Imax
13.41	14
22.43	13
22.78	24
23.23	16
24.51	13
32.19	100
32.44	50
46.54	18
57.23	17
57.71	35



No. 2
For Ca3ErMg4, a PBE-relaxed structure gives the simulated powder XRD pattern in this record (Cu Kα X-rays).
Intensities are scaled so that the largest is 100.

Cell and atoms:
abc: 3.841 3.841 16.258
angles: 90.00 90.00 90.00
Element x y z (fractional)
Ca  0.000  0.000  0.000
Ca  0.000  0.000  0.259
Ca  0.000  0.000  0.741
Er  0.000  0.000  0.500
Mg  0.500  0.500  0.130
Mg  0.500  0.500  0.387
Mg  0.500  0.500  0.613
Mg  0.500  0.500  0.870

Most intense lines, 2θ = 10–90°, in order of rising 2θ:
2θ/deg	I/Imax
10.88	31
21.87	16
23.16	27
23.80	21
25.65	16
32.06	100
32.98	50
47.34	20
56.56	18
58.31	34



No. 3
For CaPrErMg, a PBE-relaxed structure gives the simulated powder XRD pattern in this record (Cu Kα X-rays).
Intensities are scaled so that the largest is 100.

Cell and atoms:
abc: 3.653 3.653 9.735
angles: 90.00 90.00 90.00
Element x y z (fractional)
Ca  0.000  0.000  0.000
Pr  0.500  0.500  0.700
Er  0.000  0.000  0.450
Mg  0.500  0.500  0.237

Most intense lines, 2θ = 10–90°, in order of rising 2θ:
2θ/deg	I/Imax
26.06	34
30.60	100
34.73	37
35.98	13
36.94	13
37.06	14
49.94	13
51.60	20
59.71	29
63.74	17



No. 4
For CaY2Er2Mg5, a PBE-relaxed structure gives the simulated powder XRD pattern in this record (Cu Kα X-rays).
Intensities are scaled so that the largest is 100.

Cell and atoms:
abc: 10.787 10.787 5.008
angles: 90.00 90.00 90.00
Element x y z (fractional)
Ca  0.000  0.000  0.000
Ca  0.500  0.500  0.000
Y  0.179  0.321  0.000
Y  0.321  0.821  0.000
Y  0.679  0.179  0.000
Y  0.821  0.679  0.000
Er  0.115  0.615  0.000
Er  0.385  0.115  0.000
Er  0.615  0.885  0.000
Er  0.885  0.385  0.000
Mg  0.000  0.500  0.500
Mg  0.072  0.798  0.500
Mg  0.202  0.072  0.500
Mg  0.298  0.572  0.500
Mg  0.428  0.298  0.500
Mg  0.500  0.000  0.500
Mg  0.572  0.702  0.500
Mg  0.702  0.428  0.500
Mg  0.798  0.928  0.500
Mg  0.928  0.202  0.500

Most intense lines, 2θ = 10–90°, in order of rising 2θ:
2θ/deg	I/Imax
11.60	76
17.71	93
21.22	42
26.12	32
29.87	36
31.74	100
34.93	97
35.86	41
37.88	46
65.74	34



No. 5
For CaEr2TaN4, a PBE-relaxed structure gives the simulated powder XRD pattern in this record (Cu Kα X-rays).
Intensities are scaled so that the largest is 100.

Cell and atoms:
abc: 6.168 6.168 12.104
angles: 90.00 90.00 148.15
Element x y z (fractional)
Ca  0.109  0.891  0.750
Ca  0.891  0.109  0.250
Er  0.371  0.629  0.531
Er  0.371  0.629  0.969
Er  0.629  0.371  0.031
Er  0.629  0.371  0.469
Ta  0.157  0.843  0.250
Ta  0.843  0.157  0.750
N  0.000  0.000  0.000
N  0.000  0.000  0.500
N  0.256  0.744  0.121
N  0.256  0.744  0.379
N  0.439  0.561  0.750
N  0.561  0.439  0.250
N  0.744  0.256  0.621
N  0.744  0.256  0.879

Most intense lines, 2θ = 10–90°, in order of rising 2θ:
2θ/deg	I/Imax
16.64	72
29.52	51
30.13	47
31.20	84
35.43	32
38.02	100
40.24	35
42.69	30
52.26	23
63.25	33



No. 6
For CaNd4Er2, a PBE-relaxed structure gives the simulated powder XRD pattern in this record (Cu Kα X-rays).
Intensities are scaled so that the largest is 100.

Cell and atoms:
abc: 21.143 21.143 21.143
angles: 9.87 9.87 9.87
Element x y z (fractional)
Ca  0.000  0.000  0.000
Nd  0.143  0.143  0.143
Nd  0.282  0.282  0.282
Nd  0.718  0.718  0.718
Nd  0.857  0.857  0.857
Er  0.430  0.430  0.430
Er  0.570  0.570  0.570

Most intense lines, 2θ = 10–90°, in order of rising 2θ:
2θ/deg	I/Imax
29.73	32
30.04	100
34.73	66
49.73	21
50.14	24
59.02	12
59.38	27
59.56	14
62.43	12
81.51	12



No. 7
For Ca2Nd6Er3, a PBE-relaxed structure gives the simulated powder XRD pattern in this record (Cu Kα X-rays).
Intensities are scaled so that the largest is 100.

Cell and atoms:
abc: 33.190 33.190 33.190
angles: 6.30 6.30 6.30
Element x y z (fractional)
Ca  0.047  0.047  0.047
Ca  0.953  0.953  0.953
Nd  0.138  0.138  0.138
Nd  0.319  0.319  0.319
Nd  0.413  0.413  0.413
Nd  0.587  0.587  0.587
Nd  0.681  0.681  0.681
Nd  0.862  0.862  0.862
Er  0.225  0.225  0.225
Er  0.500  0.500  0.500
Er  0.775  0.775  0.775

Most intense lines, 2θ = 10–90°, in order of rising 2θ:
2θ/deg	I/Imax
29.67	30
29.95	100
34.63	63
49.61	17
49.97	26
59.20	24
59.36	14
62.23	12
81.21	12
83.72	12



No. 8
For CaNd12Er5, a PBE-relaxed structure gives the simulated powder XRD pattern in this record (Cu Kα X-rays).
Intensities are scaled so that the largest is 100.

Cell and atoms:
abc: 10.914 5.168 10.929
angles: 90.00 90.60 90.00
Element x y z (fractional)
Ca  0.000  0.000  0.000
Nd  0.003  0.000  0.663
Nd  0.169  0.500  0.502
Nd  0.171  0.500  0.171
Nd  0.334  0.000  0.334
Nd  0.337  0.000  0.997
Nd  0.498  0.500  0.831
Nd  0.502  0.500  0.169
Nd  0.663  0.000  0.003
Nd  0.666  0.000  0.666
Nd  0.829  0.500  0.829
Nd  0.831  0.500  0.498
Nd  0.997  0.000  0.337
Er  0.173  0.500  0.827
Er  0.334  0.000  0.666
Er  0.500  0.500  0.500
Er  0.666  0.000  0.334
Er  0.827  0.500  0.173

Most intense lines, 2θ = 10–90°, in order of rising 2θ:
2θ/deg	I/Imax
30.03	100
34.69	34
35.04	17
49.88	12
50.14	24
59.26	7
59.34	22
59.78	14
62.41	12
81.54	9



No. 9
For CaNd2Y4Er, a PBE-relaxed structure gives the simulated powder XRD pattern in this record (Cu Kα X-rays).
Intensities are scaled so that the largest is 100.

Cell and atoms:
abc: 9.658 9.658 6.878
angles: 110.85 110.85 88.28
Element x y z (fractional)
Ca  0.000  0.000  0.000
Ca  0.000  0.000  0.500
Nd  0.000  0.500  0.000
Nd  0.500  0.000  0.500
Nd  0.500  0.500  0.000
Nd  0.500  0.500  0.500
Y  0.250  0.749  0.998
Y  0.251  0.750  0.502
Y  0.260  0.267  0.513
Y  0.267  0.260  0.013
Y  0.733  0.740  0.987
Y  0.740  0.733  0.487
Y  0.749  0.250  0.498
Y  0.750  0.251  0.002
Er  0.000  0.500  0.500
Er  0.500  0.000  0.000

Most intense lines, 2θ = 10–90°, in order of rising 2θ:
2θ/deg	I/Imax
26.50	69
29.69	50
29.92	100
40.22	44
40.40	87
52.83	19
60.06	25
60.47	13
63.49	22
68.80	17



No. 10
For CaErNi, a PBE-relaxed structure gives the simulated powder XRD pattern in this record (Cu Kα X-rays).
Intensities are scaled so that the largest is 100.

Cell and atoms:
abc: 6.816 6.816 6.816
angles: 150.86 150.86 41.68
Element x y z (fractional)
Ca  0.000  0.000  0.000
Er  0.257  0.257  0.000
Ni  0.648  0.648  0.000

Most intense lines, 2θ = 10–90°, in order of rising 2θ:
2θ/deg	I/Imax
13.90	89
26.92	44
28.01	18
33.59	100
37.07	56
39.78	28
44.29	47
53.44	19
64.61	29
71.85	22



No. 11
For CaEr2NpO8, a PBE-relaxed structure gives the simulated powder XRD pattern in this record (Cu Kα X-rays).
Intensities are scaled so that the largest is 100.

Cell and atoms:
abc: 3.936 7.514 5.211
angles: 90.00 92.50 90.00
Element x y z (fractional)
Ca  0.000  0.000  0.000
Er  0.500  0.255  0.500
Er  0.500  0.745  0.500
Np  0.000  0.500  0.000
O  0.017  0.286  0.756
O  0.017  0.714  0.756
O  0.475  0.500  0.232
O  0.500  0.000  0.269
O  0.500  0.000  0.731
O  0.525  0.500  0.768
O  0.983  0.286  0.244
O  0.983  0.714  0.244

Most intense lines, 2θ = 10–90°, in order of rising 2θ:
2θ/deg	I/Imax
11.78	50
20.76	21
27.83	58
29.05	53
29.32	100
32.98	46
46.18	21
47.66	38
49.21	34
57.50	21



No. 12
For CaErO4, a PBE-relaxed structure gives the simulated powder XRD pattern in this record (Cu Kα X-rays).
Intensities are scaled so that the largest is 100.

Cell and atoms:
abc: 3.851 3.851 6.624
angles: 94.87 94.87 58.02
Element x y z (fractional)
Ca  0.000  0.000  0.000
Er  0.633  0.633  0.587
O  0.229  0.229  0.340
O  0.407  0.407  0.257
O  0.665  0.665  0.913
O  0.963  0.963  0.622

Most intense lines, 2θ = 10–90°, in order of rising 2θ:
2θ/deg	I/Imax
13.43	100
26.60	33
27.05	34
27.34	43
29.98	91
31.12	59
39.78	33
41.07	20
47.41	27
48.82	38



No. 13
For Ca2Er4Pb3O2, a PBE-relaxed structure gives the simulated powder XRD pattern in this record (Cu Kα X-rays).
Intensities are scaled so that the largest is 100.

Cell and atoms:
abc: 13.068 13.068 13.068
angles: 159.31 159.31 29.42
Element x y z (fractional)
Ca  0.195  0.195  0.000
Ca  0.805  0.805  0.000
Er  0.085  0.585  0.500
Er  0.415  0.915  0.500
Er  0.585  0.085  0.500
Er  0.915  0.415  0.500
Pb  0.326  0.326  0.000
Pb  0.500  0.500  0.000
Pb  0.674  0.674  0.000
O  0.093  0.093  0.000
O  0.907  0.907  0.000

Most intense lines, 2θ = 10–90°, in order of rising 2θ:
2θ/deg	I/Imax
14.01	13
19.24	28
25.91	24
27.80	17
30.43	15
34.40	100
38.37	45
55.38	16
58.92	19
66.85	30